[1]
For Ce3Pu2ThP6, a cell relaxed with GGA-PBE gives the computed powder diffraction line list in this record (a wavelength of 1.5418 Å).
No peak broadening, texture or thermal motion is included.

Main lines, sorted by position (5° ≤ 2θ ≤ 70°):
d_spacing  Position (°2θ)  intensity
6.658  13.30  10.0
3.474  25.64  6.8
3.327  26.79  96.6
2.881  31.04  100.0
2.644  33.90  3.4
2.038  44.46  74.2
1.738  52.66  12.1
1.737  52.68  36.3
1.664  55.21  26.2
1.441  64.70  12.2

```
Ce3Pu2ThP6
1.0
3.5278 -6.1115 0.0000
3.5278 6.1115 0.0000
-2.3543 0.0000 6.6582
Ce Pu Th P
3 2 1 6
Direct
0.0000 0.0000 0.0000 Ce
0.3343 0.6657 0.0000 Ce
0.6657 0.3343 0.0000 Ce
0.1669 0.8331 0.5000 Pu
0.8331 0.1669 0.5000 Pu
0.5000 0.5000 0.5000 Th
0.0789 0.4174 0.2526 P
0.2435 0.2435 0.7466 P
0.4174 0.0789 0.2526 P
0.5826 0.9211 0.7474 P
0.7565 0.7565 0.2534 P
0.9211 0.5826 0.7474 P
```

=====

[2]
For CePuU2P4, a cell relaxed with GGA-PBE gives the computed powder diffraction line list in this record (a wavelength of 1.5418 Å).
No peak broadening, texture or thermal motion is included.

Main lines, sorted by position (5° ≤ 2θ ≤ 70°):
d_spacing  Position (°2θ)  intensity
3.314  26.90  27.1
3.248  27.46  77.2
2.827  31.65  100.0
2.016  44.97  25.4
2.011  45.09  12.6
1.983  45.76  24.2
1.721  53.22  13.6
1.704  53.81  17.3
1.626  56.61  13.0
1.414  66.10  12.3

```
CePuU2P4
1.0
6.8628 0.0000 0.0000
0.0000 3.9751 0.0000
-2.3027 0.0000 6.6286
Ce Pu U P
1 1 2 4
Direct
0.0000 0.0000 0.0000 Ce
0.5000 0.5000 0.0000 Pu
0.0000 0.5000 0.5000 U
0.5000 0.0000 0.5000 U
0.2512 0.0000 0.7428 P
0.2564 0.5000 0.2596 P
0.7436 0.5000 0.7405 P
0.7488 0.0000 0.2572 P
```

=====

[3]
For CeReP2, a cell relaxed with GGA-PBE gives the computed powder diffraction line list in this record (a wavelength of 1.5418 Å).
No peak broadening, texture or thermal motion is included.

Main lines, sorted by position (5° ≤ 2θ ≤ 70°):
d_spacing  Position (°2θ)  intensity
3.698  24.07  100.0
2.538  35.36  59.9
2.468  36.41  13.9
2.449  36.70  80.6
1.994  45.48  31.6
1.769  51.66  19.1
1.755  52.11  25.5
1.568  58.89  27.3
1.551  59.61  13.8
1.421  65.71  16.2

```
CeReP2
1.0
3.9885 0.0000 0.0000
0.0000 3.9885 0.0000
0.0000 0.0000 9.8714
Ce Re P
2 2 4
Direct
0.0000 0.0000 0.0000 Ce
0.5000 0.5000 0.5000 Ce
0.0000 0.5000 0.7500 Re
0.5000 0.0000 0.2500 Re
0.0000 0.0000 0.3701 P
0.0000 0.0000 0.6299 P
0.5000 0.5000 0.1299 P
0.5000 0.5000 0.8701 P
```

=====

[4]
For Ce2P3Rh3, a cell relaxed with GGA-PBE gives the computed powder diffraction line list in this record (a wavelength of 1.5418 Å).
No peak broadening, texture or thermal motion is included.

Main lines, sorted by position (5° ≤ 2θ ≤ 70°):
d_spacing  Position (°2θ)  intensity
9.742  9.08  19.2
6.495  13.63  30.8
2.789  32.09  100.0
2.563  35.01  13.2
2.435  36.91  28.9
2.116  42.74  9.7
1.972  46.02  37.3
1.835  49.70  48.5
1.533  60.39  26.8
1.395  67.12  11.3

```
Ce2P3Rh3
1.0
2.7892 0.0000 0.0000
0.0000 2.7892 0.0000
0.0000 0.0000 19.4839
Ce P Rh
2 3 3
Direct
0.0000 0.0000 0.2426 Ce
0.0000 0.0000 0.7574 Ce
0.0000 0.0000 0.0000 P
0.0000 0.0000 0.3847 P
0.0000 0.0000 0.6153 P
0.0000 0.0000 0.1156 Rh
0.0000 0.0000 0.5000 Rh
0.0000 0.0000 0.8844 Rh
```

=====

[5]
For Ce2P2Rh5, a cell relaxed with GGA-PBE gives the computed powder diffraction line list in this record (a wavelength of 1.5418 Å).
No peak broadening, texture or thermal motion is included.

Main lines, sorted by position (5° ≤ 2θ ≤ 70°):
d_spacing  Position (°2θ)  intensity
8.834  10.01  7.3
3.005  29.73  8.9
2.424  37.09  100.0
2.392  37.61  3.5
2.208  40.86  15.9
2.066  43.82  5.8
2.050  44.18  35.8
1.944  46.72  4.4
1.503  61.74  18.6
1.450  64.25  11.5

```
Ce2P2Rh5
1.0
4.1002 0.0000 0.0000
0.0000 4.1002 0.0000
0.0000 0.0000 8.8337
Ce P Rh
2 2 5
Direct
0.0000 0.0000 0.0000 Ce
0.0000 0.0000 0.5000 Ce
0.5000 0.5000 0.1311 P
0.5000 0.5000 0.8689 P
0.0000 0.5000 0.2615 Rh
0.0000 0.5000 0.7385 Rh
0.5000 0.0000 0.2615 Rh
0.5000 0.0000 0.7385 Rh
0.5000 0.5000 0.5000 Rh
```

=====

[6]
For CeP3Rh5, a cell relaxed with GGA-PBE gives the computed powder diffraction line list in this record (a wavelength of 1.5418 Å).
No peak broadening, texture or thermal motion is included.

Main lines, sorted by position (5° ≤ 2θ ≤ 70°):
d_spacing  Position (°2θ)  intensity
3.376  26.40  51.6
2.800  31.96  38.2
2.737  32.71  100.0
2.729  32.82  63.3
2.712  33.03  41.9
2.545  35.27  46.2
2.354  38.24  98.0
2.056  44.05  40.5
1.948  46.63  35.9
1.944  46.73  62.7

```
CeP3Rh5
1.0
1.9437 -6.0543 0.0000
1.9437 6.0543 0.0000
0.0000 0.0000 12.2006
Ce P Rh
2 6 10
Direct
0.1477 0.8523 0.7500 Ce
0.8523 0.1477 0.2500 Ce
0.1172 0.8828 0.2500 P
0.3897 0.6103 0.0463 P
0.3897 0.6103 0.4537 P
0.6103 0.3897 0.5463 P
0.6103 0.3897 0.9537 P
0.8828 0.1172 0.7500 P
0.0000 0.0000 0.0000 Rh
0.0000 0.0000 0.5000 Rh
0.2106 0.7894 0.0779 Rh
0.2106 0.7894 0.4221 Rh
0.4396 0.5604 0.6411 Rh
0.4396 0.5604 0.8589 Rh
0.5604 0.4396 0.1411 Rh
0.5604 0.4396 0.3589 Rh
0.7894 0.2106 0.5779 Rh
0.7894 0.2106 0.9221 Rh
```

=====

[7]
For Ce3P2Rh9, a cell relaxed with GGA-PBE gives the computed powder diffraction line list in this record (a wavelength of 1.5418 Å).
No peak broadening, texture or thermal motion is included.

Main lines, sorted by position (5° ≤ 2θ ≤ 70°):
d_spacing  Position (°2θ)  intensity
2.634  34.03  25.0
2.510  35.77  100.0
2.388  37.67  51.9
2.337  38.52  96.6
2.146  42.11  56.8
1.957  46.39  27.9
1.673  54.86  7.0
1.547  59.77  41.5
1.489  62.36  22.9
1.369  68.57  18.0

```
Ce3P2Rh9
1.0
6.1892 0.0000 0.0000
-3.0946 5.3600 0.0000
0.0000 0.0000 14.3267
Ce P Rh
6 4 18
Direct
0.0000 0.0000 0.2500 Ce
0.0000 0.0000 0.7500 Ce
0.3333 0.6667 0.0735 Ce
0.3333 0.6667 0.4265 Ce
0.6667 0.3333 0.5735 Ce
0.6667 0.3333 0.9265 Ce
0.3333 0.6667 0.6518 P
0.3333 0.6667 0.8482 P
0.6667 0.3333 0.1518 P
0.6667 0.3333 0.3482 P
0.0173 0.5086 0.2500 Rh
0.1488 0.2976 0.5810 Rh
0.1488 0.2976 0.9190 Rh
0.1488 0.8512 0.5810 Rh
0.1488 0.8512 0.9190 Rh
0.2976 0.1488 0.0810 Rh
0.2976 0.1488 0.4190 Rh
0.4914 0.5086 0.2500 Rh
0.4914 0.9827 0.2500 Rh
0.5086 0.0173 0.7500 Rh
0.5086 0.4914 0.7500 Rh
0.7024 0.8512 0.5810 Rh
0.7024 0.8512 0.9190 Rh
0.8512 0.1488 0.0810 Rh
0.8512 0.1488 0.4190 Rh
0.8512 0.7024 0.0810 Rh
0.8512 0.7024 0.4190 Rh
0.9827 0.4914 0.7500 Rh
```

=====

[8]
For CePRhS, a cell relaxed with GGA-PBE gives the computed powder diffraction line list in this record (a wavelength of 1.5418 Å).
No peak broadening, texture or thermal motion is included.

Main lines, sorted by position (5° ≤ 2θ ≤ 70°):
d_spacing  Position (°2θ)  intensity
8.884  9.96  22.2
3.726  23.88  52.7
3.014  29.64  29.5
2.759  32.46  17.8
2.429  37.00  100.0
2.401  37.45  14.8
2.052  44.13  41.2
1.953  46.49  15.1
1.797  50.80  14.2
1.515  61.16  15.6

```
CePRhS
1.0
4.1040 0.0000 0.0000
0.0000 4.1040 0.0000
0.0000 0.0000 8.8843
Ce P Rh S
2 2 2 2
Direct
0.2500 0.2500 0.2044 Ce
0.7500 0.7500 0.7956 Ce
0.2500 0.2500 0.6450 P
0.7500 0.7500 0.3550 P
0.2500 0.7500 0.5000 Rh
0.7500 0.2500 0.5000 Rh
0.2500 0.7500 0.0000 S
0.7500 0.2500 0.0000 S
```